[1]
Calculated X-ray diffraction stick pattern of Li8GeSb2 for Cu Kα, 1.54184 Å, from a crystal structure in Alexandria, relaxed with PBE.
Neutral-atom scattering factors, no anomalous dispersion.

Peak list (6 most intense, 5° ≤ 2θ ≤ 70°, sorted by position)
22.58 deg, intensity 100; 23.57 deg, intensity 44; 26.23 deg, intensity 52; 30.46 deg, intensity 32; 38.81 deg, intensity 24; 38.93 deg, intensity 33

a b c (Å): 7.2086 7.2086 7.5501
angles (deg): 121.38 121.38 37.33
Atoms (fractional coordinates):
1 Li 0.0020 0.0020 0.2889
2 Li 0.1427 0.1427 0.1374
3 Li 0.3482 0.3482 0.5563
4 Li 0.3511 0.3511 0.1430
5 Li 0.6489 0.6489 0.8570
6 Li 0.6518 0.6518 0.4437
7 Li 0.8573 0.8573 0.8626
8 Li 0.9980 0.9980 0.7111
9 Ge 0.5000 0.5000 0.0000
10 Sb 0.2006 0.2006 0.7025
11 Sb 0.7994 0.7994 0.2975


[2]
Calculated X-ray diffraction stick pattern of LiScGe3 for Cu Kα, 1.54184 Å, from a crystal structure in Alexandria, relaxed with PBE.
Neutral-atom scattering factors, no anomalous dispersion.

Peak list (6 most intense, 5° ≤ 2θ ≤ 70°, sorted by position)
7.38 deg, intensity 79; 35.74 deg, intensity 64; 36.23 deg, intensity 100; 37.52 deg, intensity 71; 40.06 deg, intensity 54; 47.44 deg, intensity 53

a b c (Å): 11.9861 5.4477 5.5346
angles (deg): 90.00 90.00 90.00
Atoms (fractional coordinates):
1 Li 0.0988 0.2500 0.0000
2 Li 0.0988 0.2500 0.5000
3 Li 0.9012 0.7500 0.0000
4 Li 0.9012 0.7500 0.5000
5 Sc 0.3171 0.0082 0.2500
6 Sc 0.3171 0.4918 0.7500
7 Sc 0.6829 0.5082 0.2500
8 Sc 0.6829 0.9918 0.7500
9 Ge 0.1004 0.7083 0.7500
10 Ge 0.1004 0.7917 0.2500
11 Ge 0.2716 0.0022 0.7500
12 Ge 0.2716 0.4978 0.2500
13 Ge 0.4957 0.7500 0.0000
14 Ge 0.4957 0.7500 0.5000
15 Ge 0.5043 0.2500 0.0000
16 Ge 0.5043 0.2500 0.5000
17 Ge 0.7284 0.5022 0.7500
18 Ge 0.7284 0.9978 0.2500
19 Ge 0.8996 0.2083 0.7500
20 Ge 0.8996 0.2917 0.2500


[3]
Calculated X-ray diffraction stick pattern of LiGeSe2 for Cu Kα, 1.54184 Å, from a crystal structure in Alexandria, relaxed with PBE.
Neutral-atom scattering factors, no anomalous dispersion.

Peak list (6 most intense, 5° ≤ 2θ ≤ 70°, sorted by position)
10.92 deg, intensity 32; 25.59 deg, intensity 84; 28.16 deg, intensity 100; 37.71 deg, intensity 38; 46.23 deg, intensity 69; 47.72 deg, intensity 46

a b c (Å): 4.7714 8.0993 5.0902
angles (deg): 90.00 90.00 90.00
Atoms (fractional coordinates):
1 Li 0.0000 0.1192 0.0000
2 Li 0.5000 0.8808 0.5000
3 Ge 0.0000 0.6304 0.0341
4 Ge 0.5000 0.3696 0.5341
5 Se 0.0000 0.3794 0.3385
6 Se 0.0000 0.8662 0.3093
7 Se 0.5000 0.1338 0.8093
8 Se 0.5000 0.6206 0.8385


[4]
Calculated X-ray diffraction stick pattern of Li3GeSe4 for Cu Kα, 1.54184 Å, from a crystal structure in Alexandria, relaxed with PBE.
Neutral-atom scattering factors, no anomalous dispersion.

Peak list (6 most intense, 5° ≤ 2θ ≤ 70°, sorted by position)
25.61 deg, intensity 88; 26.84 deg, intensity 100; 27.19 deg, intensity 82; 30.13 deg, intensity 93; 43.68 deg, intensity 53; 48.07 deg, intensity 66

a b c (Å): 7.2796 7.5621 6.9565
angles (deg): 90.00 90.00 90.00
Atoms (fractional coordinates):
1 Li 0.0000 0.1351 0.0000
2 Li 0.2409 0.3355 0.5219
3 Li 0.2591 0.6645 0.0219
4 Li 0.5000 0.8649 0.5000
5 Li 0.7409 0.6645 0.0219
6 Li 0.7591 0.3355 0.5219
7 Ge 0.0000 0.8194 0.5013
8 Ge 0.5000 0.1806 0.0013
9 Se 0.0000 0.1128 0.3675
10 Se 0.0000 0.8366 0.8454
11 Se 0.2456 0.3480 0.8894
12 Se 0.2544 0.6520 0.3894
13 Se 0.5000 0.1634 0.3454
14 Se 0.5000 0.8872 0.8675
15 Se 0.7456 0.6520 0.3894
16 Se 0.7544 0.3480 0.8894


[5]
Calculated X-ray diffraction stick pattern of Li2GeSe3 for Cu Kα, 1.54184 Å, from a crystal structure in Alexandria, relaxed with PBE.
Neutral-atom scattering factors, no anomalous dispersion.

Peak list (6 most intense, 5° ≤ 2θ ≤ 70°, sorted by position)
14.84 deg, intensity 35; 26.33 deg, intensity 46; 26.67 deg, intensity 100; 26.90 deg, intensity 56; 44.54 deg, intensity 40; 45.26 deg, intensity 36

a b c (Å): 7.2334 7.2334 6.8496
angles (deg): 96.99 96.99 122.18
Atoms (fractional coordinates):
1 Li 0.0929 0.9071 0.5000
2 Li 0.2764 0.7727 0.0124
3 Li 0.7727 0.2764 0.5124
4 Li 0.9071 0.0929 0.0000
5 Ge 0.4567 0.6231 0.5339
6 Ge 0.6231 0.4567 0.0339
7 Se 0.1628 0.6306 0.6357
8 Se 0.3279 0.4762 0.1625
9 Se 0.4762 0.3279 0.6625
10 Se 0.6306 0.1628 0.1357
11 Se 0.8032 0.9662 0.6139
12 Se 0.9662 0.8032 0.1139


[6]
Calculated X-ray diffraction stick pattern of LiGeSe3 for Cu Kα, 1.54184 Å, from a crystal structure in Alexandria, relaxed with PBE.
Neutral-atom scattering factors, no anomalous dispersion.

Peak list (6 most intense, 5° ≤ 2θ ≤ 70°, sorted by position)
19.35 deg, intensity 46; 24.66 deg, intensity 77; 26.73 deg, intensity 52; 26.97 deg, intensity 100; 29.70 deg, intensity 47; 35.65 deg, intensity 58

a b c (Å): 7.0367 8.4124 10.8803
angles (deg): 90.00 128.95 90.00
Atoms (fractional coordinates):
1 Li 0.2454 0.0482 0.1900
2 Li 0.2454 0.4518 0.6900
3 Li 0.7546 0.5482 0.3100
4 Li 0.7546 0.9518 0.8100
5 Ge 0.3617 0.6165 0.4275
6 Ge 0.3617 0.8835 0.9275
7 Ge 0.6383 0.1165 0.0725
8 Ge 0.6383 0.3835 0.5725
9 Se 0.0233 0.0491 0.3045
10 Se 0.0233 0.4509 0.8045
11 Se 0.2485 0.7355 0.5774
12 Se 0.2485 0.7645 0.0774
13 Se 0.4153 0.2058 0.6294
14 Se 0.4153 0.2942 0.1294
15 Se 0.5847 0.7058 0.8706
16 Se 0.5847 0.7942 0.3706
17 Se 0.7515 0.2355 0.9226
18 Se 0.7515 0.2645 0.4226
19 Se 0.9767 0.5491 0.1955
20 Se 0.9767 0.9509 0.6955